Starting from a crystal structure in the Materials Project, relaxed with PBE+U, the X-ray diffraction stick pattern of VCl2O was simulated for Cu Kα (weighted mean of Kα1 and Kα2).
Kinematic intensities with the Lorentz-polarization factor, no thermal factor.

Atomic structure:
abc: 7.017 7.017 7.017
angles: 150.97 149.92 42.30
Element x y z (fractional)
V (0.000, 0.000, 0.000)
Cl (0.127, 0.627, 0.500)
Cl (0.873, 0.373, 0.500)
O (0.500, 0.000, 0.500)

Top 6 peaks for 2θ from 10° to 90°, by angle:
| 2θ (°) | d (Å) | intensity |
| --- | --- | --- |
| 13.53 | 6.545 | 100.0 |
| 25.38 | 3.509 | 69.8 |
| 32.70 | 2.739 | 71.3 |
| 43.07 | 2.100 | 27.3 |
| 45.30 | 2.002 | 40.0 |
| 61.11 | 1.516 | 18.3 |

***

Starting from a crystal structure in the Materials Project, relaxed with PBE+U, the X-ray diffraction stick pattern of Li3Cr2P3O12 was simulated for Cu Kα (weighted mean of Kα1 and Kα2).
Kinematic intensities with the Lorentz-polarization factor, no thermal factor.

Atomic structure:
abc: 8.627 8.627 8.572
angles: 118.73 118.73 60.44
Element x y z (fractional)
Li (0.125, 0.875, 0.500)
Li (0.242, 0.502, 0.098)
Li (0.502, 0.242, 0.598)
Li (0.549, 0.809, 0.538)
Li (0.809, 0.549, 0.038)
Li (0.875, 0.125, 0.000)
Cr (0.038, 0.543, 0.433)
Cr (0.332, 0.828, 0.157)
Cr (0.543, 0.038, 0.933)
Cr (0.828, 0.332, 0.657)
P (0.141, 0.230, 0.045)
P (0.230, 0.141, 0.545)
P (0.432, 0.660, 0.753)
P (0.660, 0.432, 0.253)
P (0.710, 0.939, 0.338)
P (0.939, 0.710, 0.838)
O (0.073, 0.170, 0.604)
O (0.122, 0.428, 0.202)
O (0.126, 0.717, 0.999)
O (0.170, 0.073, 0.104)
O (0.201, 0.297, 0.485)
O (0.245, 0.653, 0.592)
O (0.249, 0.943, 0.389)
O (0.297, 0.201, 0.985)
O (0.428, 0.122, 0.702)
O (0.429, 0.712, 0.948)
O (0.462, 0.587, 0.221)
O (0.477, 0.807, 0.740)
O (0.563, 0.893, 0.350)
O (0.587, 0.462, 0.721)
O (0.653, 0.245, 0.092)
O (0.658, 0.943, 0.143)
O (0.712, 0.429, 0.448)
O (0.717, 0.126, 0.499)
O (0.786, 0.909, 0.873)
O (0.807, 0.477, 0.240)
O (0.893, 0.563, 0.850)
O (0.909, 0.786, 0.373)
O (0.943, 0.249, 0.889)
O (0.943, 0.658, 0.643)

Top 6 peaks for 2θ from 10° to 90°, by angle:
| 2θ (°) | d (Å) | intensity |
| --- | --- | --- |
| 14.30 | 6.195 | 28.3 |
| 20.60 | 4.312 | 38.5 |
| 20.73 | 4.285 | 29.9 |
| 23.86 | 3.730 | 38.6 |
| 24.13 | 3.689 | 100.0 |
| 29.28 | 3.050 | 38.0 |

***

Starting from a crystal structure in the Materials Project, relaxed with PBE+U, the X-ray diffraction stick pattern of Rb3FeO3 was simulated for Cu Kα (weighted mean of Kα1 and Kα2).
Kinematic intensities with the Lorentz-polarization factor, no thermal factor.

Atomic structure:
abc: 7.922 12.208 7.209
angles: 90.00 116.74 90.00
Element x y z (fractional)
Rb (0.018, 0.155, 0.434)
Rb (0.018, 0.345, 0.934)
Rb (0.230, 0.061, 0.020)
Rb (0.230, 0.439, 0.520)
Rb (0.427, 0.693, 0.633)
Rb (0.427, 0.807, 0.133)
Rb (0.573, 0.193, 0.867)
Rb (0.573, 0.307, 0.367)
Rb (0.770, 0.561, 0.480)
Rb (0.770, 0.939, 0.980)
Rb (0.982, 0.655, 0.066)
Rb (0.982, 0.845, 0.566)
Fe (0.347, 0.548, 0.009)
Fe (0.347, 0.952, 0.509)
Fe (0.653, 0.048, 0.491)
Fe (0.653, 0.452, 0.991)
O (0.148, 0.616, 0.778)
O (0.148, 0.884, 0.278)
O (0.330, 0.563, 0.257)
O (0.330, 0.937, 0.757)
O (0.401, 0.104, 0.455)
O (0.401, 0.396, 0.955)
O (0.599, 0.604, 0.045)
O (0.599, 0.896, 0.545)
O (0.670, 0.063, 0.243)
O (0.670, 0.437, 0.743)
O (0.852, 0.116, 0.722)
O (0.852, 0.384, 0.222)

Top 6 peaks for 2θ from 10° to 90°, by angle:
| 2θ (°) | d (Å) | intensity |
| --- | --- | --- |
| 28.69 | 3.111 | 40.3 |
| 28.81 | 3.099 | 37.5 |
| 29.18 | 3.060 | 50.3 |
| 31.54 | 2.836 | 61.4 |
| 32.49 | 2.756 | 100.0 |
| 37.24 | 2.415 | 38.5 |

***

Starting from a crystal structure in the Materials Project, relaxed with PBE+U, the X-ray diffraction stick pattern of LiVPHO5 was simulated for Cu Kα (weighted mean of Kα1 and Kα2).
Kinematic intensities with the Lorentz-polarization factor, no thermal factor.

Atomic structure:
abc: 5.172 7.522 10.370
angles: 102.67 98.74 105.93
Element x y z (fractional)
Li (0.114, 0.360, 0.036)
Li (0.385, 0.139, 0.464)
Li (0.615, 0.861, 0.536)
Li (0.886, 0.640, 0.964)
V (0.000, 0.500, 0.500)
V (0.250, 0.750, 0.250)
V (0.500, 0.000, 0.000)
V (0.750, 0.250, 0.750)
P (0.128, 0.954, 0.685)
P (0.371, 0.546, 0.814)
P (0.629, 0.454, 0.186)
P (0.872, 0.046, 0.315)
H (0.085, 0.949, 0.108)
H (0.413, 0.551, 0.391)
H (0.587, 0.449, 0.609)
H (0.915, 0.051, 0.892)
O (0.043, 0.911, 0.340)
O (0.054, 0.245, 0.408)
O (0.094, 0.478, 0.861)
O (0.183, 0.959, 0.837)
O (0.204, 0.867, 0.088)
O (0.297, 0.634, 0.412)
O (0.315, 0.541, 0.663)
O (0.405, 0.023, 0.639)
O (0.447, 0.253, 0.093)
O (0.457, 0.588, 0.160)
O (0.543, 0.412, 0.840)
O (0.553, 0.747, 0.907)
O (0.595, 0.977, 0.361)
O (0.685, 0.459, 0.337)
O (0.703, 0.366, 0.588)
O (0.796, 0.133, 0.912)
O (0.817, 0.041, 0.163)
O (0.906, 0.522, 0.139)
O (0.946, 0.755, 0.592)
O (0.957, 0.089, 0.660)

Top 6 peaks for 2θ from 10° to 90°, by angle:
| 2θ (°) | d (Å) | intensity |
| --- | --- | --- |
| 18.49 | 4.798 | 38.1 |
| 18.68 | 4.749 | 39.3 |
| 25.58 | 3.482 | 66.0 |
| 26.51 | 3.362 | 100.0 |
| 26.64 | 3.347 | 98.9 |
| 28.83 | 3.097 | 86.0 |

***

Starting from a crystal structure in the Materials Project, relaxed with PBE+U, the X-ray diffraction stick pattern of Li4CrFe3O8 was simulated for Cu Kα (weighted mean of Kα1 and Kα2).
Kinematic intensities with the Lorentz-polarization factor, no thermal factor.

Atomic structure:
abc: 5.989 5.989 5.169
angles: 106.76 106.76 59.72
Element x y z (fractional)
Li (0.000, 0.500, 0.000)
Li (0.249, 0.249, 0.498)
Li (0.500, 0.000, 0.000)
Li (0.751, 0.751, 0.502)
Cr (0.000, 0.000, 0.000)
Fe (0.250, 0.750, 0.500)
Fe (0.500, 0.500, 0.000)
Fe (0.750, 0.250, 0.500)
O (0.113, 0.113, 0.745)
O (0.135, 0.637, 0.758)
O (0.363, 0.865, 0.242)
O (0.385, 0.385, 0.258)
O (0.615, 0.615, 0.742)
O (0.637, 0.135, 0.758)
O (0.865, 0.363, 0.242)
O (0.887, 0.887, 0.255)

Top 6 peaks for 2θ from 10° to 90°, by angle:
| 2θ (°) | d (Å) | intensity |
| --- | --- | --- |
| 18.11 | 4.898 | 100.0 |
| 35.28 | 2.544 | 42.6 |
| 42.79 | 2.113 | 81.1 |
| 61.99 | 1.497 | 21.8 |
| 62.25 | 1.491 | 22.4 |
| 65.41 | 1.427 | 14.4 |

***

Starting from a crystal structure in the Materials Project, relaxed with PBE+U, the X-ray diffraction stick pattern of CoPtO2 was simulated for Cu Kα (weighted mean of Kα1 and Kα2).
Kinematic intensities with the Lorentz-polarization factor, no thermal factor.

Atomic structure:
abc: 7.036 7.036 5.016
angles: 104.29 104.29 49.82
Element x y z (fractional)
Co (0.000, 0.000, 0.000)
Co (0.259, 0.741, 0.500)
Co (0.501, 0.499, 0.000)
Co (0.761, 0.239, 0.500)
Pt (0.005, 0.494, 0.002)
Pt (0.254, 0.246, 0.497)
Pt (0.506, 0.995, 0.998)
Pt (0.754, 0.746, 0.503)
O (0.100, 0.076, 0.388)
O (0.163, 0.659, 0.113)
O (0.341, 0.837, 0.887)
O (0.417, 0.407, 0.609)
O (0.593, 0.583, 0.391)
O (0.662, 0.159, 0.111)
O (0.841, 0.338, 0.889)
O (0.924, 0.900, 0.612)

Top 6 peaks for 2θ from 10° to 90°, by angle:
| 2θ (°) | d (Å) | intensity |
| --- | --- | --- |
| 14.42 | 6.141 | 82.4 |
| 29.08 | 3.070 | 72.0 |
| 35.55 | 2.526 | 37.6 |
| 36.49 | 2.462 | 100.0 |
| 37.26 | 2.414 | 46.5 |
| 40.51 | 2.227 | 55.2 |